The following is a calculated powder XRD pattern of ZrScVNi3. It was derived from DFT lattice parameters and positions (GGA-PBE), using Cu Kα (λ = 1.5418 Å).
No peak broadening, texture or thermal motion is included.

Cell and atoms:
```
6
Lattice="2.5400 1.4665 3.9230 -2.5400 1.4665 3.9230 0.0000 -2.9330 3.9230" Properties=species:S:1:pos:R:3 pbc="T T T"
Zr 0.0000 0.0000 0.0000
Sc 0.0000 0.0000 3.0504
V 0.0000 0.0000 7.4346
Ni -1.2666 -0.7313 5.4637
Ni 1.2666 -0.7313 5.4637
Ni 0.0000 1.4625 5.4637
```

Most intense lines, 2θ = 10–90°, in order of rising 2θ:
2.540 Å, 35.34°, I = 256; 2.446 Å, 36.75°, I = 353; 2.162 Å, 41.77°, I = 621; 2.132 Å, 42.39°, I = 1000; 2.075 Å, 43.61°, I = 368; 2.060 Å, 43.94°, I = 528